This entry pairs a crystal structure of SrMg2Bi2 with its theoretical powder diffraction line list. Radiation: a wavelength of 1.5418 Å. Structure: a cell relaxed with GGA-PBE.

Structural model:
```
SrMg2Bi2
1.0
4.6036 0.0000 0.0000
0.0000 4.6036 0.0000
0.0000 0.0000 14.9899
Sr Mg Bi
2 4 4
Direct
0.0000 0.0000 0.0000
0.5000 0.5000 0.5000
0.0000 0.5000 0.2500
0.0000 0.5000 0.7500
0.5000 0.0000 0.2500
0.5000 0.0000 0.7500
0.0000 0.0000 0.3779
0.0000 0.0000 0.6221
0.5000 0.5000 0.1221
0.5000 0.5000 0.8779
```

Top 10 peaks for 10° ≤ 2θ ≤ 80°, sorted by position:
| h k l | d/Å | two_theta | I (rel.) |
| --- | --- | --- | --- |
| 1 0 1 | 4.401 | 20.18 | 60.3 |
| 1 0 3 | 3.386 | 26.32 | 100.0 |
| 1 1 0 | 3.255 | 27.40 | 68.7 |
| 1 0 5 | 2.512 | 35.74 | 56.8 |
| 1 1 4 | 2.458 | 36.56 | 45.8 |
| 2 0 0 | 2.302 | 39.14 | 41.2 |
| 2 1 3 | 1.904 | 47.78 | 40.7 |
| 2 1 5 | 1.697 | 54.03 | 35.4 |
| 1 1 8 | 1.624 | 56.68 | 18.7 |
| 2 0 8 | 1.453 | 64.08 | 19.4 |